[1]
Starting from DFT lattice parameters and positions (PBE), the powder XRD pattern of Zr3Sc2Hg3 was simulated for λ = 1.5418 Å (Cu Kα).

Crystal structure
abc: 6.279 6.279 5.208
angles: 90.00 90.00 120.00
Element x y z (fractional)
Zr (0.173, 0.347, 0.000)
Zr (0.173, 0.827, 0.000)
Zr (0.653, 0.827, 0.000)
Sc (0.333, 0.667, 0.500)
Sc (0.667, 0.333, 0.000)
Hg (0.330, 0.165, 0.500)
Hg (0.835, 0.165, 0.500)
Hg (0.835, 0.670, 0.500)

Main lines, in order of rising 2θ (15° ≤ 2θ ≤ 90°):
2θ 32.9, I 30.0; 2θ 34.4, I 26.8; 2θ 37.3, I 100.0; 2θ 48.4, I 20.7; 2θ 63.6, I 20.9; 2θ 70.0, I 19.9

---

[2]
Starting from DFT lattice parameters and positions (PBE), the powder XRD pattern of TbPa3N6 was simulated for λ = 1.5418 Å (Cu Kα).

Crystal structure
abc: 6.807 6.807 3.665
angles: 90.00 90.00 110.29
Element x y z (fractional)
Tb (0.000, 0.000, 0.000)
Pa (0.000, 0.500, 0.500)
Pa (0.500, 0.000, 0.500)
Pa (0.500, 0.500, 0.000)
N (0.150, 0.850, 0.500)
N (0.168, 0.427, 0.000)
N (0.427, 0.168, 0.000)
N (0.573, 0.832, 0.000)
N (0.832, 0.573, 0.000)
N (0.850, 0.150, 0.500)

Main lines, in order of rising 2θ (15° ≤ 2θ ≤ 90°):
2θ 28.0, I 100.0; 2θ 29.1, I 92.7; 2θ 32.0, I 29.4; 2θ 33.6, I 52.7; 2θ 47.1, I 57.4; 2θ 56.0, I 30.9